Theoretical powder XRD pattern of Ba2BeGa for copper Kα, from the GGA-PBE geometry in the Materials Project.
Kinematic intensities with the Lorentz-polarization factor, no thermal factor.

Peak list (10 most intense, 10 to 90 degrees two-theta, by intensity)
2θ/deg	I/Imax	(hkl)
32.26	100	2 2 0
57.53	37	4 2 2
19.59	37	1 1 1
38.02	21	3 1 1
46.27	18	4 0 0
76.81	16	6 2 0
67.51	12	4 4 0
50.70	9	3 3 1
61.38	7	5 1 1
71.05	7	5 3 1

Cell and atoms:
```
Ba2BeGa
1.0
7.849 0.000 0.000
0.000 7.849 0.000
0.000 0.000 7.849
Ba Be Ga
8 4 4
Cartesian
0.000 0.000 0.000
0.000 3.924 3.924
1.962 1.962 1.962
1.962 5.887 5.887
3.924 0.000 3.924
3.924 3.924 0.000
5.887 1.962 5.887
5.887 5.887 1.962
1.962 1.962 5.887
1.962 5.887 1.962
5.887 1.962 1.962
5.887 5.887 5.887
0.000 0.000 3.924
0.000 3.924 0.000
3.924 0.000 0.000
3.924 3.924 3.924
```


Theoretical powder XRD pattern of BaBeGa for copper Kα, from the GGA-PBE geometry in the Materials Project.
Kinematic intensities with the Lorentz-polarization factor, no thermal factor.

Peak list (10 most intense, 10 to 90 degrees two-theta, by intensity)
2θ/deg	I/Imax	(hkl)
20.97	100	1 1 1
34.57	87	2 2 0
40.78	53	3 1 1
61.94	31	4 2 2
54.50	23	3 3 1
66.16	17	5 1 1
76.85	17	5 3 1
49.69	15	4 0 0
83.27	14	6 2 0
72.92	10	4 4 0

Cell and atoms:
```
BaBeGa
1.0
7.339 0.000 0.000
0.000 7.339 0.000
0.000 0.000 7.339
Ba Be Ga
4 4 4
Cartesian
0.000 0.000 0.000
0.000 3.669 3.669
3.669 0.000 3.669
3.669 3.669 0.000
1.835 1.835 5.504
1.835 5.504 1.835
5.504 1.835 1.835
5.504 5.504 5.504
1.835 1.835 1.835
1.835 5.504 5.504
5.504 1.835 5.504
5.504 5.504 1.835
```


Theoretical powder XRD pattern of Ba3BeIr2O9 for copper Kα, from the GGA-PBE geometry in the Materials Project.
Kinematic intensities with the Lorentz-polarization factor, no thermal factor.

Peak list (10 most intense, 10 to 90 degrees two-theta, by intensity)
2θ/deg	I/Imax	(hkl)
31.60	100	1 1 0
56.28	41	3 0 0
45.29	29	2 0 2
75.01	18	3 1 2
65.99	18	2 2 0
18.09	12	1 0 0
22.20	10	0 1 1
12.76	6	0 0 1
83.66	6	0 4 2
38.96	4	2 0 1

Cell and atoms:
```
Ba3BeIr2O9
1.0
5.662 0.000 0.000
-2.831 4.903 0.000
0.000 0.000 6.938
Ba Be Ir O
3 1 2 9
Cartesian
0.000 0.000 0.000
0.000 3.269 4.599
2.831 1.634 2.340
0.000 0.000 3.469
0.000 3.269 1.215
2.831 1.634 5.723
-1.415 2.452 0.000
0.000 1.622 2.323
-1.426 4.092 2.323
1.404 0.811 4.615
2.831 0.000 0.000
1.415 2.452 0.000
1.426 4.092 2.323
4.257 0.811 4.615
2.831 3.281 4.615
```


Theoretical powder XRD pattern of BaLa2BeO5 for copper Kα, from the GGA-PBE geometry in the Materials Project.
Kinematic intensities with the Lorentz-polarization factor, no thermal factor.

Peak list (10 most intense, 10 to 90 degrees two-theta, by intensity)
2θ/deg	I/Imax	(hkl)
29.78	100	0 1 3
29.92	42	2 0 2
27.36	40	0 2 1
28.36	38	2 1 -1
28.57	35	2 1 1
29.53	27	2 0 -2
36.56	26	2 2 1
36.39	22	2 2 -1
25.84	19	0 2 0
38.30	19	0 1 4

Cell and atoms:
```
BaLa2BeO5
1.0
7.522 0.000 0.000
0.000 6.896 0.000
-0.136 0.000 10.000
Ba La Be O
4 8 4 20
Cartesian
0.099 0.566 3.275
0.031 2.882 8.275
7.355 4.014 1.725
7.287 6.330 6.725
1.854 4.055 4.796
1.786 6.289 9.796
3.553 0.567 3.239
3.485 2.880 8.239
3.901 4.015 1.761
3.833 6.328 6.761
5.600 0.607 0.204
5.532 2.841 5.204
1.877 1.333 5.968
1.945 2.114 0.968
5.441 4.781 9.032
5.509 5.562 4.032
0.515 1.335 0.625
0.447 2.113 5.625
1.976 0.910 7.657
2.044 2.538 2.657
2.091 3.540 0.104
2.023 6.804 5.104
2.033 4.580 7.137
2.102 5.763 2.137
3.301 1.237 0.655
3.233 2.211 5.655
4.153 4.685 4.345
4.085 5.659 9.345
5.284 1.132 7.863
5.353 2.316 2.863
5.363 0.092 4.896
5.295 3.356 9.896
5.342 4.357 7.343
5.410 5.986 2.343
6.939 4.783 4.375
6.871 5.561 9.375
```


Theoretical powder XRD pattern of BaBeO3 for copper Kα, from the GGA-PBE geometry in the Materials Project.
Kinematic intensities with the Lorentz-polarization factor, no thermal factor.

Peak list (10 most intense, 10 to 90 degrees two-theta, by intensity)
2θ/deg	I/Imax	(hkl)
32.52	100	1 1 0
22.84	95	1 0 0
40.11	77	1 1 1
52.55	43	2 1 0
46.65	41	2 0 0
58.02	39	2 1 1
82.08	25	3 1 1
68.10	24	2 2 0
72.87	21	3 0 0
77.52	18	3 1 0

Cell and atoms:
```
BaBeO3
1.0
3.894 0.000 0.000
0.000 3.894 0.000
0.000 0.000 3.894
Ba Be O
1 1 3
Cartesian
0.000 0.000 0.000
1.947 1.947 1.947
0.000 1.947 1.947
1.947 0.000 1.947
1.947 1.947 0.000
```


Theoretical powder XRD pattern of Ba3Bi2 for copper Kα, from the GGA-PBE geometry in the Materials Project.
Kinematic intensities with the Lorentz-polarization factor, no thermal factor.

Peak list (10 most intense, 10 to 90 degrees two-theta, by intensity)
2θ/deg	I/Imax	(hkl)
26.97	100	2 0 0
38.51	79	2 2 0
18.98	54	1 1 0
23.30	46	1 1 1
62.85	38	4 2 0
47.64	29	2 2 2
33.19	29	2 1 1
69.66	28	4 2 2
45.50	23	3 1 1
88.78	20	6 0 0

Cell and atoms:
```
Ba3Bi2
1.0
6.612 0.000 0.000
0.000 6.612 0.000
0.000 0.000 6.612
Ba Bi
3 2
Cartesian
0.000 0.000 3.306
0.000 3.306 0.000
3.306 0.000 0.000
0.000 0.000 0.000
3.306 3.306 3.306
```